Diffraction record for Nd6AgIr2. The powder diffractogram is simulated, not measured: it uses the GGA-PBE geometry in Alexandria and Cu Kα X-rays.

Main lines, most intense first (10 to 90 degrees two-theta):
| two_theta | d/Å | I_rel |
| --- | --- | --- |
| 31.5 | 2.843 | 100 |
| 34.7 | 2.582 | 81 |
| 33.9 | 2.644 | 41 |
| 40.1 | 2.248 | 34 |
| 34.3 | 2.613 | 28 |
| 29.2 | 3.059 | 27 |

a b c (Å): 5.792 5.792 9.314
angles (deg): 98.78 98.78 52.92
Fractional coordinates of all 9 atoms:
Nd  0.040  0.040  0.342
Nd  0.286  0.286  0.665
Nd  0.345  0.345  0.104
Nd  0.655  0.655  0.896
Nd  0.714  0.714  0.335
Nd  0.960  0.960  0.658
Ag  0.000  0.000  0.000
Ir  0.381  0.381  0.398
Ir  0.619  0.619  0.602

=====

Diffraction record for Nd8Ag2Ir. The powder diffractogram is simulated, not measured: it uses the GGA-PBE geometry in Alexandria and Cu Kα X-rays.

Main lines, most intense first (10 to 90 degrees two-theta):
| two_theta | d/Å | I_rel |
| --- | --- | --- |
| 31.1 | 2.879 | 100 |
| 31.3 | 2.859 | 94 |
| 35.3 | 2.543 | 45 |
| 31.7 | 2.820 | 44 |
| 38.7 | 2.328 | 35 |
| 29.3 | 3.051 | 32 |

a b c (Å): 9.070 9.070 6.359
angles (deg): 103.45 103.45 128.98
Fractional coordinates of all 11 atoms:
Nd  0.000  0.000  0.000
Nd  0.075  0.462  0.222
Nd  0.112  0.880  0.525
Nd  0.423  0.657  0.889
Nd  0.462  0.075  0.222
Nd  0.550  0.550  0.378
Nd  0.657  0.423  0.889
Nd  0.880  0.112  0.525
Ag  0.553  0.989  0.716
Ag  0.989  0.553  0.716
Ir  0.272  0.272  0.516

=====

Diffraction record for Ag3IrO4. The powder diffractogram is simulated, not measured: it uses the GGA-PBE geometry in Alexandria and Cu Kα X-rays.

Main lines, most intense first (10 to 90 degrees two-theta):
| two_theta | d/Å | I_rel |
| --- | --- | --- |
| 32.6 | 2.747 | 100 |
| 33.2 | 2.701 | 54 |
| 57.8 | 1.595 | 21 |
| 58.9 | 1.568 | 19 |
| 45.9 | 1.977 | 17 |
| 47.6 | 1.910 | 12 |

a b c (Å): 7.641 7.641 7.907
angles (deg): 90.00 90.00 90.00
Fractional coordinates of all 32 atoms:
Ag  0.000  0.194  0.000
Ag  0.000  0.205  0.500
Ag  0.000  0.795  0.000
Ag  0.000  0.806  0.500
Ag  0.183  0.500  0.250
Ag  0.194  0.000  0.750
Ag  0.205  0.000  0.250
Ag  0.500  0.183  0.500
Ag  0.500  0.817  0.000
Ag  0.795  0.000  0.750
Ag  0.806  0.000  0.250
Ag  0.817  0.500  0.750
Ir  0.276  0.500  0.750
Ir  0.500  0.276  0.000
Ir  0.500  0.724  0.500
Ir  0.724  0.500  0.250
O  0.090  0.327  0.737
O  0.090  0.673  0.763
O  0.311  0.458  0.994
O  0.311  0.542  0.506
O  0.327  0.090  0.013
O  0.327  0.910  0.487
O  0.458  0.311  0.756
O  0.458  0.689  0.744
O  0.542  0.311  0.244
O  0.542  0.689  0.256
O  0.673  0.090  0.987
O  0.673  0.910  0.513
O  0.689  0.458  0.006
O  0.689  0.542  0.494
O  0.910  0.327  0.263
O  0.910  0.673  0.237

=====

Diffraction record for Ag2Ir2O7. The powder diffractogram is simulated, not measured: it uses the GGA-PBE geometry in Alexandria and Cu Kα X-rays.

Main lines, most intense first (10 to 90 degrees two-theta):
| two_theta | d/Å | I_rel |
| --- | --- | --- |
| 30.3 | 2.950 | 100 |
| 50.5 | 1.806 | 43 |
| 60.1 | 1.540 | 42 |
| 35.1 | 2.554 | 36 |
| 82.3 | 1.172 | 17 |
| 84.9 | 1.142 | 15 |

a b c (Å): 7.225 7.225 7.225
angles (deg): 60.00 60.00 60.00
Fractional coordinates of all 22 atoms:
Ag  0.000  0.000  0.000
Ag  0.000  0.000  0.500
Ag  0.000  0.500  0.000
Ag  0.500  0.000  0.000
Ir  0.000  0.500  0.500
Ir  0.500  0.000  0.500
Ir  0.500  0.500  0.000
Ir  0.500  0.500  0.500
O  0.125  0.125  0.125
O  0.177  0.177  0.573
O  0.177  0.573  0.177
O  0.177  0.573  0.573
O  0.427  0.427  0.823
O  0.427  0.823  0.427
O  0.427  0.823  0.823
O  0.573  0.177  0.177
O  0.573  0.177  0.573
O  0.573  0.573  0.177
O  0.823  0.427  0.427
O  0.823  0.427  0.823
O  0.823  0.823  0.427
O  0.875  0.875  0.875

=====

Diffraction record for Ag4IrO5. The powder diffractogram is simulated, not measured: it uses the GGA-PBE geometry in Alexandria and Cu Kα X-rays.

Main lines, most intense first (10 to 90 degrees two-theta):
| two_theta | d/Å | I_rel |
| --- | --- | --- |
| 32.2 | 2.784 | 100 |
| 30.5 | 2.933 | 33 |
| 55.2 | 1.663 | 17 |
| 51.7 | 1.768 | 16 |
| 74.0 | 1.281 | 16 |
| 40.3 | 2.236 | 15 |

a b c (Å): 5.797 5.797 5.797
angles (deg): 104.84 104.84 119.20
Fractional coordinates of all 10 atoms:
Ag  0.000  0.283  0.283
Ag  0.000  0.717  0.717
Ag  0.283  0.000  0.283
Ag  0.717  0.000  0.717
Ir  0.571  0.571  0.000
O  0.249  0.249  0.000
O  0.340  0.613  0.728
O  0.613  0.340  0.728
O  0.613  0.885  0.272
O  0.885  0.613  0.272

=====

Diffraction record for AgIr3O9. The powder diffractogram is simulated, not measured: it uses the GGA-PBE geometry in Alexandria and Cu Kα X-rays.

Main lines, most intense first (10 to 90 degrees two-theta):
| two_theta | d/Å | I_rel |
| --- | --- | --- |
| 27.2 | 3.279 | 100 |
| 24.4 | 3.652 | 76 |
| 32.0 | 2.793 | 70 |
| 28.4 | 3.148 | 68 |
| 34.0 | 2.637 | 48 |
| 41.6 | 2.170 | 43 |

a b c (Å): 5.278 7.304 8.104
angles (deg): 90.00 92.42 90.00
Fractional coordinates of all 26 atoms:
Ag  0.017  0.250  0.469
Ag  0.983  0.750  0.531
Ir  0.000  0.000  0.000
Ir  0.000  0.500  0.000
Ir  0.475  0.000  0.695
Ir  0.475  0.500  0.695
Ir  0.525  0.000  0.305
Ir  0.525  0.500  0.305
O  0.127  0.250  0.983
O  0.166  0.569  0.798
O  0.166  0.931  0.798
O  0.271  0.536  0.480
O  0.271  0.964  0.480
O  0.314  0.561  0.117
O  0.314  0.939  0.117
O  0.349  0.250  0.680
O  0.397  0.250  0.306
O  0.603  0.750  0.694
O  0.651  0.750  0.320
O  0.686  0.061  0.883
O  0.686  0.439  0.883
O  0.729  0.036  0.520
O  0.729  0.464  0.520
O  0.834  0.069  0.202
O  0.834  0.431  0.202
O  0.873  0.750  0.017

=====

Diffraction record for AgPIrO2. The powder diffractogram is simulated, not measured: it uses the GGA-PBE geometry in Alexandria and Cu Kα X-rays.

Main lines, most intense first (10 to 90 degrees two-theta):
| two_theta | d/Å | I_rel |
| --- | --- | --- |
| 29.0 | 3.079 | 100 |
| 33.8 | 2.653 | 41 |
| 33.3 | 2.693 | 32 |
| 48.1 | 1.890 | 31 |
| 57.5 | 1.602 | 29 |
| 60.1 | 1.539 | 22 |

a b c (Å): 3.752 3.752 5.386
angles (deg): 90.00 90.00 90.00
Fractional coordinates of all 5 atoms:
Ag  0.000  0.000  0.000
P  0.500  0.500  0.000
Ir  0.500  0.500  0.500
O  0.000  0.500  0.500
O  0.500  0.000  0.500

=====

Diffraction record for AgP2IrO8. The powder diffractogram is simulated, not measured: it uses the GGA-PBE geometry in Alexandria and Cu Kα X-rays.

Main lines, most intense first (10 to 90 degrees two-theta):
| two_theta | d/Å | I_rel |
| --- | --- | --- |
| 19.8 | 4.475 | 100 |
| 32.2 | 2.779 | 82 |
| 34.7 | 2.584 | 46 |
| 23.5 | 3.785 | 35 |
| 48.1 | 1.892 | 34 |
| 43.3 | 2.088 | 34 |

a b c (Å): 5.167 5.167 7.092
angles (deg): 90.00 90.00 120.00
Fractional coordinates of all 12 atoms:
Ag  0.000  0.000  0.000
P  0.333  0.667  0.252
P  0.667  0.333  0.748
Ir  0.000  0.000  0.500
O  0.170  0.339  0.326
O  0.170  0.830  0.326
O  0.333  0.667  0.041
O  0.339  0.170  0.674
O  0.661  0.830  0.326
O  0.667  0.333  0.959
O  0.830  0.170  0.674
O  0.830  0.661  0.674